Theoretical powder diffractogram
Compound: Rb6PdAu2O
Radiation: λ = 1.5418 Å (Cu Kα)
Structure: a crystal structure in Alexandria, relaxed with GGA-PBE
Peak positions follow from Bragg's law for the DFT cell and can differ from measured ones.

Principal peaks in the range 10° ≤ 2θ ≤ 90°, low angle first:
| hkl | d_spacing | Rel. int. |
| --- | --- | --- |
| 1 1 1 | 4.173 | 60 |
| 2 1 -3 | 3.503 | 79 |
| 0 2 2 | 3.472 | 78 |
| 2 2 -2 | 2.960 | 77 |
| 0 0 4 | 2.924 | 68 |
| 1 3 0 | 2.643 | 100 |

Cell and atoms:
a b c (Å): 8.136 8.629 14.194
angles (deg): 90.00 124.50 90.00
Sites, in units of the cell vectors:
Rb (0.121, 0.035, 0.227)
Rb (0.121, 0.465, 0.727)
Rb (0.224, 0.719, 0.056)
Rb (0.224, 0.781, 0.556)
Rb (0.333, 0.174, 0.051)
Rb (0.333, 0.326, 0.551)
Rb (0.667, 0.674, 0.449)
Rb (0.667, 0.826, 0.949)
Rb (0.776, 0.219, 0.444)
Rb (0.776, 0.281, 0.944)
Rb (0.879, 0.535, 0.273)
Rb (0.879, 0.965, 0.773)
Pd (0.500, 0.000, 0.500)
Pd (0.500, 0.500, 0.000)
Au (0.278, 0.077, 0.752)
Au (0.278, 0.423, 0.252)
Au (0.722, 0.577, 0.748)
Au (0.722, 0.923, 0.248)
O (0.000, 0.000, 0.000)
O (0.000, 0.500, 0.500)